Starting from a DFT-relaxed cell (GGA-PBE, OQMD), the powder diffraction line list of Ta3Nb4Co6 was simulated for a wavelength of 1.5418 Å.

Peak list (10 most intense, 10° ≤ 2θ ≤ 90°, sorted by position)
- 2θ 21.80, I = 31
- 2θ 36.28, I = 100
- 2θ 40.28, I = 37
- 2θ 41.92, I = 61
- 2θ 42.28, I = 25
- 2θ 43.39, I = 61
- 2θ 45.70, I = 30
- 2θ 48.21, I = 37
- 2θ 70.18, I = 29
- 2θ 77.02, I = 28

Cell and atoms:
Cell lengths 9.2057, 9.2057, 9.2057 Å; angles 31.21, 31.21, 31.21 degrees
Positions (direct):
Ta: 0.0000 0.0000 0.0000
Ta: 0.4493 0.4493 0.4493
Ta: 0.5507 0.5507 0.5507
Nb: 0.1665 0.1665 0.1665
Nb: 0.3463 0.3463 0.3463
Nb: 0.6537 0.6537 0.6537
Nb: 0.8335 0.8335 0.8335
Co: 0.0920 0.0920 0.5808
Co: 0.0920 0.5808 0.0920
Co: 0.4192 0.9080 0.9080
Co: 0.5808 0.0920 0.0920
Co: 0.9080 0.4192 0.9080
Co: 0.9080 0.9080 0.4192